Diffraction record for Pm2SmTm4Sc. The X-ray powder pattern is computed, not measured: it uses DFT lattice parameters and positions (PBE) and Cu Kα (λ = 1.5418 Å).
Neutral-atom scattering factors, no anomalous dispersion.

Structural model:
```
Pm2SmTm4Sc
1.0
4.9860 0.0000 0.0000
0.0000 4.9860 0.0000
0.0000 0.0000 9.9109
Pm Sm Tm Sc
2 1 4 1
direct
0.0000 0.0000 0.0000
0.5000 0.5000 0.5000
0.0000 0.0000 0.5000
0.0000 0.5000 0.2443
0.0000 0.5000 0.7557
0.5000 0.0000 0.2443
0.5000 0.0000 0.7557
0.5000 0.5000 0.0000
```

Principal peaks in the range 10° ≤ 2θ ≤ 90°, low angle first:
2θ (°)	Rel. int.	h k l
31.1	100	1 1 2
36.0	34	2 0 0
36.3	16	0 0 4
52.0	24	2 0 4
61.7	28	3 1 2
62.0	14	1 1 6